Diffraction record for CsScVF6. The powder diffractogram is computed, not measured: it uses the PBE+U geometry in Alexandria and copper Kα.
Neutral-atom scattering factors, no anomalous dispersion.

Structure:
Unit cell a=7.7172 b=7.7172 c=7.7172 alpha=120.49 beta=119.34 gamma=90.15
Sites, in units of the cell vectors:
Cs: 0.3597 0.1097 0.2500
Cs: 0.6403 0.8903 0.7500
Sc: 0.0000 0.5000 0.5000
Sc: 0.5000 0.5000 0.0000
V: 0.0000 0.0000 0.5000
V: 0.0000 0.5000 0.0000
F: 0.0723 0.4337 0.2595
F: 0.0723 0.8128 0.6386
F: 0.0785 0.8285 0.2500
F: 0.3114 0.5614 0.7500
F: 0.3258 0.1872 0.7595
F: 0.3258 0.5663 0.1386
F: 0.6742 0.4337 0.8614
F: 0.6742 0.8128 0.2405
F: 0.6886 0.4386 0.2500
F: 0.9215 0.1715 0.7500
F: 0.9277 0.1872 0.3614
F: 0.9277 0.5663 0.7405

Most intense lines, 10 to 90 degrees two-theta, most intense first:
| 2θ (°) | I (rel.) |
| --- | --- |
| 26.9 | 100 |
| 27.1 | 86 |
| 27.2 | 77 |
| 23.1 | 69 |
| 47.1 | 61 |
| 42.8 | 41 |
| 55.5 | 28 |
| 28.5 | 28 |
| 32.8 | 26 |
| 43.2 | 21 |